Record 1
Structure and calculated XRD peak list of Ba2Ga2FeO6 (a crystal structure in Alexandria, relaxed with PBE+U; Cu Kα (λ = 1.5418 Å)).

Atomic structure:
Unit cell a=6.668 b=6.668 c=6.668 alpha=53.23 beta=53.23 gamma=53.23
Sites, in units of the cell vectors:
Ba 0.210 0.210 0.210
Ba 0.790 0.790 0.790
Ga 0.414 0.414 0.414
Ga 0.586 0.586 0.586
Fe 0.000 0.000 0.000
O 0.238 0.757 0.757
O 0.243 0.243 0.762
O 0.243 0.762 0.243
O 0.757 0.238 0.757
O 0.757 0.757 0.238
O 0.762 0.243 0.243

Peak list (10 most intense, 2θ from 10° to 90°, most intense first)
2θ (°), d (Å), I_rel
29.91, 2.987, 100.0
31.33, 2.855, 96.3
54.00, 1.698, 39.5
43.86, 2.064, 37.5
53.10, 1.725, 19.8
71.26, 1.323, 18.9
62.15, 1.494, 18.9
56.63, 1.625, 12.8
36.28, 2.476, 12.8
73.53, 1.288, 12.1

***

Record 2
Structure and calculated XRD peak list of BaGdFe4O7 (a crystal structure in Alexandria, relaxed with PBE+U; Cu Kα (λ = 1.5418 Å)).

Atomic structure:
Unit cell a=6.583 b=6.583 c=10.631 alpha=90.00 beta=90.00 gamma=123.00
Sites, in units of the cell vectors:
Ba 0.192 0.808 0.500
Ba 0.808 0.192 0.000
Gd 0.180 0.820 0.127
Gd 0.820 0.180 0.627
Fe 0.143 0.300 0.318
Fe 0.300 0.143 0.818
Fe 0.331 0.669 0.810
Fe 0.498 0.502 0.056
Fe 0.502 0.498 0.556
Fe 0.669 0.331 0.310
Fe 0.700 0.857 0.318
Fe 0.857 0.700 0.818
O 0.007 0.453 0.229
O 0.038 0.962 0.285
O 0.158 0.364 0.496
O 0.337 0.663 0.993
O 0.364 0.158 0.996
O 0.453 0.007 0.729
O 0.498 0.502 0.754
O 0.502 0.498 0.254
O 0.547 0.993 0.229
O 0.636 0.842 0.496
O 0.663 0.337 0.493
O 0.842 0.636 0.996
O 0.962 0.038 0.785
O 0.993 0.547 0.729

Peak list (10 most intense, 2θ from 10° to 90°, most intense first)
2θ (°), d (Å), I_rel
32.03, 2.795, 100.0
29.96, 2.982, 83.5
33.54, 2.672, 50.1
27.13, 3.287, 40.8
33.13, 2.704, 31.6
54.46, 1.685, 26.5
28.41, 3.141, 24.8
29.56, 3.022, 24.2
50.00, 1.824, 24.0
55.95, 1.643, 20.5

***

Record 3
Structure and calculated XRD peak list of Ba2FeGe2O7 (a crystal structure in Alexandria, relaxed with PBE+U; Cu Kα (λ = 1.5418 Å)).

Atomic structure:
Unit cell a=8.601 b=8.601 c=5.588 alpha=90.00 beta=90.00 gamma=90.00
Sites, in units of the cell vectors:
Ba 0.166 0.334 0.009
Ba 0.334 0.834 0.991
Ba 0.666 0.166 0.991
Ba 0.834 0.666 0.009
Fe 0.000 0.000 0.500
Fe 0.500 0.500 0.500
Ge 0.139 0.639 0.538
Ge 0.361 0.139 0.462
Ge 0.639 0.861 0.462
Ge 0.861 0.361 0.538
O 0.000 0.500 0.663
O 0.079 0.813 0.685
O 0.136 0.636 0.226
O 0.187 0.079 0.315
O 0.313 0.579 0.685
O 0.364 0.136 0.774
O 0.421 0.313 0.315
O 0.500 0.000 0.337
O 0.579 0.687 0.315
O 0.636 0.864 0.774
O 0.687 0.421 0.685
O 0.813 0.921 0.315
O 0.864 0.364 0.226
O 0.921 0.187 0.685

Peak list (10 most intense, 2θ from 10° to 90°, most intense first)
2θ (°), d (Å), I_rel
28.16, 3.169, 100.0
32.93, 2.720, 21.7
46.60, 1.949, 19.5
26.15, 3.408, 18.6
60.26, 1.536, 14.0
32.03, 2.794, 12.6
54.75, 1.677, 12.3
46.46, 1.954, 12.2
44.70, 2.027, 9.4
14.56, 6.082, 7.5

***

Record 4
Structure and calculated XRD peak list of Ba3Fe2Ge4O14 (a crystal structure in Alexandria, relaxed with PBE+U; Cu Kα (λ = 1.5418 Å)).

Atomic structure:
Unit cell a=8.683 b=8.683 c=5.411 alpha=91.91 beta=91.91 gamma=57.47
Sites, in units of the cell vectors:
Ba 0.000 0.000 0.000
Ba 0.455 0.132 0.013
Ba 0.868 0.545 0.987
Fe 0.456 0.544 0.000
Fe 0.661 0.339 0.500
Ge 0.121 0.212 0.508
Ge 0.211 0.540 0.532
Ge 0.460 0.789 0.468
Ge 0.788 0.879 0.492
O 0.126 0.220 0.191
O 0.166 0.375 0.661
O 0.218 0.663 0.790
O 0.307 0.001 0.640
O 0.337 0.782 0.210
O 0.382 0.433 0.307
O 0.554 0.322 0.794
O 0.567 0.618 0.693
O 0.625 0.834 0.339
O 0.678 0.446 0.206
O 0.748 0.079 0.355
O 0.780 0.874 0.809
O 0.921 0.252 0.645
O 0.999 0.693 0.360

Peak list (10 most intense, 2θ from 10° to 90°, most intense first)
2θ (°), d (Å), I_rel
29.21, 3.057, 100.0
25.92, 3.437, 67.5
26.77, 3.330, 62.4
29.73, 3.005, 61.0
26.99, 3.304, 51.5
33.14, 2.704, 44.3
28.16, 3.169, 41.0
31.28, 2.859, 28.2
32.72, 2.737, 26.8
31.83, 2.812, 20.5

***

Record 5
Structure and calculated XRD peak list of Ba2Fe3P6HO22 (a crystal structure in Alexandria, relaxed with PBE+U; Cu Kα (λ = 1.5418 Å)).

Atomic structure:
Unit cell a=4.933 b=8.055 c=11.411 alpha=89.39 beta=88.65 gamma=87.05
Sites, in units of the cell vectors:
Ba 0.235 0.006 0.174
Ba 0.765 0.994 0.826
Fe 0.224 0.492 0.204
Fe 0.500 0.000 0.500
Fe 0.776 0.508 0.796
P 0.035 0.756 0.425
P 0.265 0.701 0.658
P 0.312 0.296 0.947
P 0.688 0.704 0.053
P 0.735 0.299 0.342
P 0.965 0.244 0.575
H 0.000 0.500 0.000
O 0.009 0.700 0.738
O 0.043 0.650 0.316
O 0.083 0.432 0.913
O 0.180 0.647 0.528
O 0.208 0.908 0.404
O 0.227 0.116 0.929
O 0.255 0.197 0.536
O 0.358 0.323 0.080
O 0.364 0.880 0.651
O 0.429 0.680 0.128
O 0.483 0.571 0.692
O 0.517 0.429 0.308
O 0.571 0.320 0.872
O 0.636 0.120 0.349
O 0.642 0.677 0.920
O 0.745 0.803 0.464
O 0.773 0.884 0.071
O 0.792 0.092 0.596
O 0.820 0.353 0.472
O 0.917 0.568 0.087
O 0.957 0.350 0.684
O 0.991 0.300 0.262

Peak list (10 most intense, 2θ from 10° to 90°, most intense first)
2θ (°), d (Å), I_rel
29.18, 3.060, 100.0
23.12, 3.847, 73.7
23.59, 3.772, 61.6
30.49, 2.932, 61.5
26.01, 3.425, 61.5
19.47, 4.560, 53.1
25.63, 3.476, 47.4
23.39, 3.803, 45.1
19.80, 4.484, 36.3
32.56, 2.750, 35.6

***

Record 6
Structure and calculated XRD peak list of Ba2V2FeHO9 (a crystal structure in Alexandria, relaxed with PBE+U; Cu Kα (λ = 1.5418 Å)).

Atomic structure:
Unit cell a=7.989 b=6.268 c=9.299 alpha=90.00 beta=112.74 gamma=90.00
Sites, in units of the cell vectors:
Ba 0.179 0.250 0.089
Ba 0.238 0.750 0.748
Ba 0.762 0.250 0.252
Ba 0.821 0.750 0.911
V 0.064 0.750 0.329
V 0.453 0.750 0.166
V 0.547 0.250 0.834
V 0.936 0.250 0.671
Fe 0.500 0.000 0.500
Fe 0.500 0.500 0.500
H 0.229 0.250 0.478
H 0.771 0.750 0.522
O 0.001 0.531 0.208
O 0.001 0.969 0.208
O 0.049 0.250 0.548
O 0.230 0.750 0.042
O 0.310 0.750 0.451
O 0.323 0.250 0.433
O 0.422 0.250 0.947
O 0.496 0.513 0.282
O 0.496 0.987 0.282
O 0.504 0.013 0.718
O 0.504 0.487 0.718
O 0.578 0.750 0.053
O 0.677 0.750 0.567
O 0.690 0.250 0.549
O 0.770 0.250 0.958
O 0.951 0.750 0.452
O 0.999 0.031 0.792
O 0.999 0.469 0.792

Peak list (10 most intense, 2θ from 10° to 90°, most intense first)
2θ (°), d (Å), I_rel
26.48, 3.366, 100.0
31.34, 2.854, 65.2
28.82, 3.098, 57.5
28.48, 3.134, 37.0
40.95, 2.204, 28.1
37.68, 2.387, 24.4
51.54, 1.773, 24.1
46.48, 1.954, 18.6
23.49, 3.787, 17.3
17.53, 5.060, 16.4

***

Record 7
Structure and calculated XRD peak list of BaHoFe4O7 (a crystal structure in Alexandria, relaxed with PBE+U; Cu Kα (λ = 1.5418 Å)).

Atomic structure:
Unit cell a=6.340 b=9.285 c=6.385 alpha=90.00 beta=91.11 gamma=90.00
Sites, in units of the cell vectors:
Ba 0.229 0.000 0.267
Ba 0.771 0.500 0.733
Ho 0.247 0.749 0.756
Ho 0.753 0.249 0.244
Fe 0.014 0.127 0.767
Fe 0.240 0.376 0.500
Fe 0.284 0.368 0.981
Fe 0.492 0.636 0.285
Fe 0.508 0.136 0.715
Fe 0.716 0.868 0.019
Fe 0.760 0.876 0.500
Fe 0.986 0.627 0.233
O 0.036 0.758 0.460
O 0.048 0.222 0.034
O 0.228 0.508 0.744
O 0.232 0.505 0.232
O 0.247 0.000 0.719
O 0.436 0.783 0.057
O 0.458 0.227 0.433
O 0.542 0.727 0.567
O 0.564 0.283 0.943
O 0.753 0.500 0.281
O 0.768 0.005 0.768
O 0.772 0.008 0.256
O 0.952 0.722 0.966
O 0.964 0.258 0.540

Peak list (10 most intense, 2θ from 10° to 90°, most intense first)
2θ (°), d (Å), I_rel
32.16, 2.783, 100.0
27.75, 3.214, 59.9
27.47, 3.247, 59.4
33.10, 2.706, 56.1
32.76, 2.734, 55.0
32.62, 2.745, 40.8
33.23, 2.696, 40.7
16.90, 5.247, 33.9
57.33, 1.607, 33.9
56.71, 1.623, 32.0